Calculated X-ray powder pattern of CaTc2F11 for Cu Ka, from a GGA-PBE-relaxed structure.
Intensities are scaled so that the largest is 100.

Structure:
Cell: 8.9622 8.9622 10.4951 Å, 90.00 90.00 90.00°
Space group I4/mcm (No. 140)
Symmetry-distinct sites (fractional):
Ca 0.0000 0.0000 0.2500
Tc 0.1618 0.3382 0.0000
F 0.0000 0.5000 0.0000
F 0.0578 0.2244 0.1298
F 0.1930 0.3070 0.5000

Largest 10 diffraction maxima, in order of rising 2θ, 2θ = 5–70°:
- 16.90 deg, rel. 50, (0 0 2)
- 21.99 deg, rel. 39, (1 1 2)
- 23.76 deg, rel. 100, (2 1 1)
- 26.15 deg, rel. 32, (2 0 2)
- 34.02 deg, rel. 14, (2 1 3)
- 44.85 deg, rel. 18, (2 2 4)
- 46.33 deg, rel. 26, (3 3 2)
- 47.21 deg, rel. 17, (3 1 4)
- 49.36 deg, rel. 15, (4 1 3)
- 55.92 deg, rel. 14, (3 3 4)

***

Calculated X-ray powder pattern of BaTl2O4 for Cu Ka, from a GGA-PBE-relaxed structure.
Intensities are scaled so that the largest is 100.

Structure:
Cell: 7.1200 7.1200 10.1619 Å, 90.00 90.00 90.00°
Space group I4_1/amd (No. 141, origin choice 2)
Symmetry-distinct sites (fractional):
Ba 0.0000 0.2500 0.3750
Tl 0.0000 0.0000 0.0000
O 0.0000 0.0377 0.7697

Largest 10 diffraction maxima, in order of rising 2θ, 2θ = 5–70°:
- 15.19 deg, rel. 40, (1 0 1)
- 29.20 deg, rel. 51, (1 0 3)
- 29.40 deg, rel. 100, (2 1 1)
- 30.66 deg, rel. 60, (2 0 2)
- 35.67 deg, rel. 19, (2 2 0)
- 46.47 deg, rel. 17, (1 0 5)
- 46.87 deg, rel. 34, (3 2 1)
- 51.08 deg, rel. 44, (2 2 4)
- 51.33 deg, rel. 22, (4 0 0)
- 60.99 deg, rel. 21, (4 2 2)

***

Calculated X-ray powder pattern of Na2UMnSe4 for Cu Ka, from a GGA-PBE-relaxed structure.
Intensities are scaled so that the largest is 100.

Structure:
Cell: 6.9322 4.0679 7.3739 Å, 90.00 108.58 90.00°
Space group P2/m (No. 10)
Symmetry-distinct sites (fractional):
Na 0.0000 0.0000 0.0000
Na 0.5000 0.5000 0.0000
U 0.0000 0.5000 0.5000
Mn 0.5000 0.0000 0.5000
Se 0.2496 0.0000 0.7303
Se 0.2705 0.5000 0.2853

Largest 10 diffraction maxima, in order of rising 2θ, 2θ = 5–70°:
- 12.66 deg, rel. 80, (0 0 1)
- 13.48 deg, rel. 17, (1 0 0)
- 30.70 deg, rel. 100, (1 1 1)
- 30.85 deg, rel. 50, (2 0 -2)
- 39.63 deg, rel. 24, (1 1 2)
- 43.02 deg, rel. 37, (1 1 -3)
- 43.40 deg, rel. 17, (2 0 2)
- 44.55 deg, rel. 18, (0 2 0)
- 45.13 deg, rel. 35, (3 1 -1)
- 55.16 deg, rel. 23, (2 2 -2)

***

Calculated X-ray powder pattern of Pm4Dy3S8 for Cu Ka, from a GGA-PBE-relaxed structure.
Intensities are scaled so that the largest is 100.

Structure:
Cell: 11.2177 11.2237 7.9251 Å, 90.00 134.90 90.00°
Space group C2/m (No. 12)
Symmetry-distinct sites (fractional):
Pm 0.0000 0.0000 0.0000
Pm 0.0000 0.5000 0.5000
Pm 0.2500 0.2500 0.0000
Dy 0.0000 0.5000 0.0000
Dy 0.2500 0.2500 0.5000
S 0.0000 0.2468 0.5000
S 0.0000 0.2538 0.0000
S 0.2489 0.5000 0.0058
S 0.2503 0.0000 0.5076

Largest 10 diffraction maxima, in order of rising 2θ, 2θ = 5–70°:
- 13.66 deg, rel. 12, (1 1 0)
- 26.34 deg, rel. 8, (1 3 0)
- 27.53 deg, rel. 69, (2 2 0)
- 31.90 deg, rel. 100, (0 4 0)
- 45.72 deg, rel. 60, (4 0 0)
- 45.80 deg, rel. 12, (4 0 -4)
- 54.20 deg, rel. 29, (2 6 -2)
- 56.78 deg, rel. 12, (4 4 0)
- 56.89 deg, rel. 12, (4 4 -4)
- 66.67 deg, rel. 11, (0 8 0)

***

Calculated X-ray powder pattern of Ho2RhCl2 for Cu Ka, from a GGA-PBE-relaxed structure.
Intensities are scaled so that the largest is 100.

Structure:
Cell: 6.6513 3.8420 11.1071 Å, 90.00 102.65 90.00°
Space group C2/m (No. 12)
Symmetry-distinct sites (fractional):
Ho 0.2229 0.0000 0.1541
Rh 0.0000 0.5000 0.0000
Cl 0.0517 0.0000 0.6849

Largest 10 diffraction maxima, in order of rising 2θ, 2θ = 5–70°:
- 8.16 deg, rel. 100, (0 0 1)
- 28.81 deg, rel. 8, (2 0 -2)
- 29.11 deg, rel. 20, (1 1 1)
- 32.81 deg, rel. 15, (2 0 -3)
- 33.28 deg, rel. 28, (1 1 2)
- 40.63 deg, rel. 10, (1 1 -4)
- 41.27 deg, rel. 6, (2 0 3)
- 47.34 deg, rel. 16, (0 2 0)
- 47.53 deg, rel. 9, (1 1 -5)
- 48.26 deg, rel. 6, (2 0 4)

***

Calculated X-ray powder pattern of Na2Al2GeAu5 for Cu Ka, from a GGA-PBE-relaxed structure.
Intensities are scaled so that the largest is 100.

Structure:
Cell: 11.5588 11.5588 2.9735 Å, 90.00 90.00 90.00°
Space group P4/mbm (No. 127)
Symmetry-distinct sites (fractional):
Na 0.1708 0.3292 0.0000
Al 0.1334 0.6334 0.0000
Ge 0.0000 0.0000 0.0000
Au 0.0000 0.5000 0.5000
Au 0.0727 0.8077 0.5000

Largest 10 diffraction maxima, in order of rising 2θ, 2θ = 5–70°:
- 24.35 deg, rel. 53, (3 1 0)
- 27.83 deg, rel. 41, (3 2 0)
- 30.05 deg, rel. 41, (0 0 1)
- 31.92 deg, rel. 69, (4 1 0)
- 34.74 deg, rel. 37, (4 2 0)
- 39.05 deg, rel. 100, (3 1 1)
- 41.42 deg, rel. 41, (3 2 1)
- 44.41 deg, rel. 49, (4 1 1)
- 49.91 deg, rel. 33, (6 2 0)
- 65.11 deg, rel. 39, (5 5 1)

***

Calculated X-ray powder pattern of Pr3DyAs4 for Cu Ka, from a GGA-PBE-relaxed structure.
Intensities are scaled so that the largest is 100.

Structure:
Cell: 6.0289 6.0289 6.0289 Å, 90.00 90.00 90.00°
Space group Pm-3m (No. 221)
Symmetry-distinct sites (fractional):
Pr 0.0000 0.0000 0.5000
Dy 0.5000 0.5000 0.5000
As 0.0000 0.0000 0.0000
As 0.0000 0.5000 0.5000

Largest 8 diffraction maxima, in order of rising 2θ, 2θ = 5–70°:
- 25.59 deg, rel. 18, (1 1 1)
- 29.64 deg, rel. 100, (2 0 0)
- 42.41 deg, rel. 75, (2 2 0)
- 50.19 deg, rel. 9, (3 1 1)
- 52.59 deg, rel. 27, (2 2 2)
- 61.53 deg, rel. 12, (4 0 0)
- 67.75 deg, rel. 4, (3 3 1)
- 69.76 deg, rel. 34, (4 2 0)

***

Calculated X-ray powder pattern of TaNiPt6 for Cu Ka, from a GGA-PBE-relaxed structure.
Intensities are scaled so that the largest is 100.

Structure:
Cell: 5.5598 7.8470 11.2557 Å, 90.00 90.00 90.00°
Space group Fmmm (No. 69)
Symmetry-distinct sites (fractional):
Ta 0.0000 0.0000 0.0000
Ni 0.0000 0.0000 0.5000
Pt 0.0000 0.0000 0.2505
Pt 0.2500 0.2500 0.1211

Largest 10 diffraction maxima, in order of rising 2θ, 2θ = 5–70°:
- 21.11 deg, rel. 6, (1 1 1)
- 27.72 deg, rel. 4, (0 2 2)
- 30.93 deg, rel. 3, (1 1 3)
- 39.41 deg, rel. 100, (0 2 4)
- 39.74 deg, rel. 98, (2 2 0)
- 45.89 deg, rel. 65, (2 0 4)
- 46.28 deg, rel. 32, (0 4 0)
- 66.45 deg, rel. 11, (0 0 8)
- 67.22 deg, rel. 42, (2 4 4)
- 67.37 deg, rel. 11, (4 0 0)

***

Calculated X-ray powder pattern of CuHgH6Ir for Cu Ka, from a GGA-PBE-relaxed structure.
Intensities are scaled so that the largest is 100.

Structure:
Cell: 4.5628 4.8547 5.2700 Å, 79.66 84.61 63.36°
Space group P1 (No. 1)
Symmetry-distinct sites (fractional):
Cu 0.0000 0.0000 0.0000
Hg 0.7336 0.4775 0.5489
H 0.0649 0.3423 0.9872
H 0.3471 0.7158 0.8582
H 0.3778 0.8999 0.1703
H 0.5847 0.3258 0.1458
H 0.7305 0.9112 0.8308
H 0.9342 0.6897 0.1946
Ir 0.6841 0.6147 0.0320

Largest 10 diffraction maxima, in order of rising 2θ, 2θ = 5–70°:
- 20.72 deg, rel. 67, (0 1 0)
- 21.79 deg, rel. 100, (1 0 0)
- 22.52 deg, rel. 96, (1 1 0)
- 24.82 deg, rel. 20, (0 1 1)
- 34.61 deg, rel. 46, (0 0 2)
- 36.49 deg, rel. 26, (1 -1 0)
- 38.44 deg, rel. 22, (1 1 2)
- 39.71 deg, rel. 31, (2 1 0)
- 40.97 deg, rel. 23, (1 0 2)
- 44.72 deg, rel. 31, (1 1 -2)

***

Calculated X-ray powder pattern of Cs4MgTl5 for Cu Ka, from a GGA-PBE-relaxed structure.
Intensities are scaled so that the largest is 100.

Structure:
Cell: 11.7784 11.7784 7.4746 Å, 90.00 90.00 90.00°
Space group I4 (No. 79)
Symmetry-distinct sites (fractional):
Cs 0.0941 0.3034 0.0000
Mg 0.0000 0.0000 0.2100
Tl 0.0000 0.0000 0.8169
Tl 0.0607 0.1790 0.5031

Largest 10 diffraction maxima, in order of rising 2θ, 2θ = 5–70°:
- 10.62 deg, rel. 59, (1 1 0)
- 14.03 deg, rel. 53, (1 0 1)
- 23.86 deg, rel. 100, (0 0 2)
- 25.63 deg, rel. 26, (3 0 1)
- 29.85 deg, rel. 72, (3 2 1)
- 32.18 deg, rel. 28, (2 2 2)
- 33.58 deg, rel. 33, (4 1 1)
- 33.99 deg, rel. 61, (3 1 2)
- 40.14 deg, rel. 37, (3 4 1)
- 53.57 deg, rel. 40, (6 3 1)

***

Calculated X-ray powder pattern of CaNpTiO6 for Cu Ka, from a GGA-PBE-relaxed structure.
Intensities are scaled so that the largest is 100.

Structure:
Cell: 5.4117 5.4117 9.9308 Å, 90.00 90.00 120.00°
Space group P-31c (No. 163)
Symmetry-distinct sites (fractional):
Ca 0.0000 0.0000 0.0000
Np 0.3333 0.6667 0.2500
Ti 0.3333 0.6667 0.7500
O 0.0116 0.3708 0.6425

Largest 10 diffraction maxima, in order of rising 2θ, 2θ = 5–70°:
- 17.86 deg, rel. 70, (0 0 2)
- 18.94 deg, rel. 31, (1 0 0)
- 20.96 deg, rel. 100, (1 0 1)
- 26.15 deg, rel. 88, (1 0 2)
- 33.12 deg, rel. 87, (1 1 0)
- 37.87 deg, rel. 56, (1 1 2)
- 39.51 deg, rel. 23, (2 0 1)
- 42.66 deg, rel. 21, (2 0 2)
- 49.85 deg, rel. 69, (1 1 4)
- 59.16 deg, rel. 42, (3 0 0)

***

Calculated X-ray powder pattern of Cu3Ir for Cu Ka, from a GGA-PBE-relaxed structure.
Intensities are scaled so that the largest is 100.

Structure:
Cell: 2.6545 2.6545 25.2832 Å, 90.00 90.00 120.00°
Space group R-3m (No. 166, hexagonal axes)
Symmetry-distinct sites (fractional):
Cu 0.0000 0.0000 0.0000
Cu 0.0000 0.0000 0.2527
Ir 0.0000 0.0000 0.5000

Largest 10 diffraction maxima, in order of rising 2θ, 2θ = 5–70°:
- 10.50 deg, rel. 71, (0 0 3)
- 21.08 deg, rel. 18, (0 0 6)
- 31.86 deg, rel. 9, (0 0 9)
- 39.36 deg, rel. 11, (1 0 1)
- 39.86 deg, rel. 11, (0 1 2)
- 41.81 deg, rel. 100, (1 0 4)
- 42.93 deg, rel. 30, (0 0 12)
- 43.23 deg, rel. 10, (0 1 5)
- 46.85 deg, rel. 5, (1 0 7)
- 49.00 deg, rel. 62, (0 1 8)

***

Calculated X-ray powder pattern of Co2Te6Rh for Cu Ka, from a GGA-PBE-relaxed structure.
Intensities are scaled so that the largest is 100.

Structure:
Cell: 11.0809 12.6264 6.7776 Å, 90.00 111.38 90.00°
Space group C2/c (No. 15)
Symmetry-distinct sites (fractional):
Co 0.1236 0.0925 0.2232
Te 0.1032 0.0935 0.5702
Te 0.1345 0.4208 0.6711
Te 0.1442 0.2823 0.1396
Rh 0.0000 0.4153 0.2500

Largest 10 diffraction maxima, in order of rising 2θ, 2θ = 5–70°:
- 27.23 deg, rel. 75, (2 0 -2)
- 28.53 deg, rel. 57, (1 3 1)
- 32.59 deg, rel. 100, (3 3 -1)
- 34.77 deg, rel. 45, (4 0 0)
- 38.49 deg, rel. 33, (2 0 2)
- 42.98 deg, rel. 30, (0 6 0)
- 44.83 deg, rel. 21, (1 5 -2)
- 46.13 deg, rel. 35, (1 3 -3)
- 50.33 deg, rel. 21, (6 0 -2)
- 56.14 deg, rel. 21, (4 0 -4)